Entry 1:
Structure and calculated X-ray powder pattern of Tb5Tl2Pb2 (a GGA-PBE-relaxed structure; Cu Kα (weighted mean of Kα1 and Kα2)).

a = 15.8791 Å, b = 8.2704 Å, c = 8.1673 Å
α = 90.00°, β = 90.00°, γ = 90.00°
Space group Cmce (No. 64)
Asymmetric unit:
1 Tb 0.0000 0.0000 0.0000
2 Tb 0.1376 0.1739 0.3296
3 Tl 0.0000 0.1298 0.6301
4 Pb 0.2080 0.0000 0.0000

Peak list (10 most intense, 2θ = 10–90°, in order of falling intensity)
2theta, intensity, index
29.67, 100, 3 1 2
33.15, 81, 4 2 1
34.81, 61, 1 3 1
35.16, 59, 1 1 3
30.77, 56, 0 2 2
31.23, 42, 4 2 0
63.12, 40, 7 3 3
31.43, 39, 4 0 2
45.22, 37, 5 1 3
26.64, 36, 2 2 1

Entry 2:
Structure and calculated X-ray powder pattern of YAlP2 (a GGA-PBE-relaxed structure; Cu Kα (weighted mean of Kα1 and Kα2)).

a = 4.0160 Å, b = 3.6830 Å, c = 11.8537 Å
α = 90.00°, β = 90.00°, γ = 90.00°
Space group Amm2 (No. 38)
Asymmetric unit:
1 Y 0.0000 0.0000 0.0000
2 Al 0.5000 0.0000 0.7778
3 P 0.0000 0.0000 0.6762
4 P 0.5000 0.0000 0.4155

Peak list (10 most intense, 2θ = 10–90°, in order of falling intensity)
2theta, intensity, index
40.31, 100, 1 1 3
33.88, 82, 1 1 1
26.82, 81, 1 0 2
33.26, 66, 0 1 3
14.95, 59, 0 0 2
57.20, 44, 2 1 3
25.32, 39, 0 1 1
51.56, 32, 1 0 6
45.15, 28, 2 0 0
30.16, 25, 0 0 4

Entry 3:
Structure and calculated X-ray powder pattern of Sr2BiPd7 (a GGA-PBE-relaxed structure; Cu Kα (weighted mean of Kα1 and Kα2)).

a = 4.2437 Å, b = 4.2437 Å, c = 12.1217 Å
α = 90.00°, β = 90.00°, γ = 90.00°
Space group P-4m2 (No. 115)
Asymmetric unit:
1 Sr 0.0000 0.5000 0.2205
2 Bi 0.0000 0.0000 0.5000
3 Pd 0.0000 0.0000 0.0000
4 Pd 0.0000 0.5000 0.6478
5 Pd 0.0000 0.5000 0.8613
6 Pd 0.5000 0.5000 0.0000
7 Pd 0.5000 0.5000 0.5000

Peak list (10 most intense, 2θ = 10–90°, in order of falling intensity)
2theta, intensity, index
33.32, 100, 1 1 2
42.61, 52, 2 0 0
42.39, 50, 1 1 4
30.55, 24, 1 0 3
42.97, 22, 1 0 5
72.09, 21, 3 1 2
14.62, 20, 0 0 2
61.84, 17, 2 2 0
77.85, 17, 3 1 4
22.19, 17, 1 0 1

Entry 4:
Structure and calculated X-ray powder pattern of Cd8Ag3 (a GGA-PBE-relaxed structure; Cu Kα (weighted mean of Kα1 and Kα2)).

a = 11.3612 Å, b = 11.3612 Å, c = 6.9491 Å
α = 90.00°, β = 90.00°, γ = 120.00°
Space group R-3 (No. 148, hexagonal axes)
Asymmetric unit:
1 Cd 0.0000 0.0000 0.2109
2 Cd 0.0424 0.2664 0.4543
3 Ag 0.0000 0.5000 0.5000

Peak list (10 most intense, 2θ = 10–90°, in order of falling intensity)
2theta, intensity, index
35.35, 100, 3 -2 2
42.10, 72, 1 4 0
38.85, 66, 0 0 3
27.20, 61, 3 -1 1
58.61, 35, 6 -5 2
31.50, 31, 2 2 0
72.57, 28, 3 -2 5
50.86, 16, 2 2 3
45.16, 16, 0 4 2
68.08, 15, 3 2 4

Entry 5:
Structure and calculated X-ray powder pattern of Ac2Al2Os2C (a GGA-PBE-relaxed structure; Cu Kα (weighted mean of Kα1 and Kα2)).

a = 11.7023 Å, b = 4.4216 Å, c = 7.7173 Å
α = 90.00°, β = 130.19°, γ = 90.00°
Space group C2/m (No. 12)
Asymmetric unit:
1 Ac 0.0602 0.0000 0.3233
2 Al 0.1735 0.5000 0.1049
3 Os 0.1915 0.5000 0.7947
4 C 0.0000 0.5000 0.5000

Peak list (10 most intense, 2θ = 10–90°, in order of falling intensity)
2theta, intensity, index
32.52, 100, 3 1 -2
30.57, 86, 1 1 1
32.41, 38, 4 0 -1
36.36, 37, 3 1 0
40.82, 33, 0 2 0
30.32, 30, 0 0 2
36.16, 27, 2 0 -3
53.03, 27, 4 2 -1
22.43, 22, 1 1 0
58.05, 21, 1 1 3

Entry 6:
Structure and calculated X-ray powder pattern of PrAlZn2Cu (a GGA-PBE-relaxed structure; Cu Kα (weighted mean of Kα1 and Kα2)).

a = 4.1043 Å, b = 4.2400 Å, c = 10.9146 Å
α = 90.00°, β = 90.00°, γ = 90.00°
Space group Imm2 (No. 44)
Asymmetric unit:
1 Pr 0.0000 0.0000 0.0000
2 Al 0.0000 0.5000 0.7540
3 Zn 0.0000 0.0000 0.6112
4 Zn 0.0000 0.5000 0.2568
5 Cu 0.0000 0.0000 0.3841

Peak list (10 most intense, 2θ = 10–90°, in order of falling intensity)
2theta, intensity, index
34.57, 100, 1 1 2
32.89, 49, 1 0 3
32.43, 40, 0 1 3
30.31, 35, 1 1 0
42.65, 30, 0 2 0
44.13, 27, 2 0 0
46.81, 25, 0 1 5
54.88, 23, 1 2 3
47.16, 21, 1 0 5
63.05, 18, 2 2 0

Entry 7:
Structure and calculated X-ray powder pattern of LaPuSeS (a GGA-PBE-relaxed structure; Cu Kα (weighted mean of Kα1 and Kα2)).

a = 4.1229 Å, b = 4.1229 Å, c = 20.5525 Å
α = 90.00°, β = 90.00°, γ = 120.00°
Space group R3m (No. 160, hexagonal axes)
Asymmetric unit:
1 La 0.0000 0.0000 0.0000
2 Pu 0.0000 0.0000 0.5102
3 Se 0.0000 0.0000 0.7592
4 S 0.0000 0.0000 0.2500

Peak list (10 most intense, 2θ = 10–90°, in order of falling intensity)
2theta, intensity, index
30.49, 100, 1 0 4
26.43, 40, 0 1 2
43.92, 37, 1 1 0
43.39, 36, 0 1 8
54.41, 20, 0 2 4
72.40, 17, 2 1 4
71.63, 15, 1 1 12
26.01, 13, 0 0 6
51.76, 13, 1 1 6
80.37, 12, 1 2 8

Entry 8:
Structure and calculated X-ray powder pattern of AcDy3Er3 (a GGA-PBE-relaxed structure; Cu Kα (weighted mean of Kα1 and Kα2)).

a = 12.4232 Å, b = 12.4232 Å, c = 12.4232 Å
α = 90.00°, β = 90.00°, γ = 90.00°
Space group I-43m (No. 217)
Asymmetric unit:
1 Ac 0.1310 0.1310 0.8690
2 Dy 0.0998 0.0998 0.2949
3 Er 0.0622 0.3678 0.3678

Peak list (10 most intense, 2θ = 10–90°, in order of falling intensity)
2theta, intensity, index
33.84, 100, 3 3 2
30.53, 86, 4 1 1
28.74, 83, 4 0 0
36.89, 60, 4 3 1
26.85, 41, 3 2 1
52.05, 29, 5 5 0
64.53, 28, 7 4 3
55.34, 27, 6 4 2
60.55, 26, 8 1 1
56.41, 25, 7 3 0

Entry 9:
Structure and calculated X-ray powder pattern of Zn4CoPt5 (a GGA-PBE-relaxed structure; Cu Kα (weighted mean of Kα1 and Kα2)).

a = 2.8385 Å, b = 2.8385 Å, c = 17.8951 Å
α = 90.00°, β = 90.00°, γ = 90.00°
Space group P4/mmm (No. 123)
Asymmetric unit:
1 Zn 0.0000 0.0000 0.1006
2 Zn 0.0000 0.0000 0.3019
3 Co 0.0000 0.0000 0.5000
4 Pt 0.5000 0.5000 0.0000
5 Pt 0.5000 0.5000 0.2010
6 Pt 0.5000 0.5000 0.4034

Peak list (10 most intense, 2θ = 10–90°, in order of falling intensity)
2theta, intensity, index
40.56, 100, 1 0 5
45.17, 37, 1 1 0
80.24, 27, 2 1 5
31.52, 21, 1 0 0
70.50, 19, 1 1 10
24.88, 19, 0 0 5
51.04, 13, 0 0 10
65.80, 12, 2 0 0
87.78, 11, 2 0 10
52.25, 11, 1 1 5

Entry 10:
Structure and calculated X-ray powder pattern of Tm3Sb4Ir3 (a GGA-PBE-relaxed structure; Cu Kα (weighted mean of Kα1 and Kα2)).

a = 9.7233 Å, b = 9.7233 Å, c = 9.7233 Å
α = 90.00°, β = 90.00°, γ = 90.00°
Space group I-43d (No. 220)
Asymmetric unit:
1 Tm 0.0000 0.2500 0.8750
2 Sb 0.0726 0.4274 0.5726
3 Ir 0.0000 0.2500 0.3750

Peak list (10 most intense, 2θ = 10–90°, in order of falling intensity)
2theta, intensity, index
34.51, 100, 3 2 1
41.54, 56, 4 2 0
22.40, 35, 2 1 1
43.66, 19, 3 3 2
71.27, 18, 5 5 2
45.71, 15, 4 2 2
60.19, 15, 6 2 0
47.69, 14, 5 1 0
58.52, 13, 6 1 1
66.64, 12, 4 4 4

Entry 11:
Structure and calculated X-ray powder pattern of AcPu6Ge6 (a GGA-PBE-relaxed structure; Cu Kα (weighted mean of Kα1 and Kα2)).

a = 6.2752 Å, b = 9.9097 Å, c = 9.6801 Å
α = 90.00°, β = 90.00°, γ = 90.00°
Space group Cmmm (No. 65)
Asymmetric unit:
1 Ac 0.0000 0.0000 0.0000
2 Pu 0.0000 0.5000 0.3182
3 Pu 0.2500 0.2500 0.2318
4 Ge 0.0000 0.0000 0.3276
5 Ge 0.0000 0.2300 0.5000
6 Ge 0.0000 0.3696 0.0000

Peak list (10 most intense, 2θ = 10–90°, in order of falling intensity)
2theta, intensity, index
33.81, 100, 2 2 0
38.73, 82, 2 2 2
33.13, 65, 0 2 3
18.33, 50, 0 0 2
36.26, 49, 0 4 0
34.05, 41, 2 0 2
40.08, 31, 2 0 3
40.93, 29, 0 4 2
25.73, 26, 0 2 2
31.98, 24, 1 3 1

Entry 12:
Structure and calculated X-ray powder pattern of TlCu5Se3 (a GGA-PBE-relaxed structure; Cu Kα (weighted mean of Kα1 and Kα2)).

a = 12.9881 Å, b = 12.9881 Å, c = 3.9503 Å
α = 90.00°, β = 90.00°, γ = 90.00°
Space group P4_2/mnm (No. 136)
Asymmetric unit:
1 Tl 0.1054 0.1054 0.0000
2 Cu 0.0122 0.3983 0.0000
3 Cu 0.0816 0.7104 0.5000
4 Cu 0.1821 0.8179 0.0000
5 Se 0.1038 0.8962 0.5000
6 Se 0.1166 0.3235 0.5000

Peak list (10 most intense, 2θ = 10–90°, in order of falling intensity)
2theta, intensity, index
36.48, 100, 4 1 1
29.84, 94, 2 2 1
27.47, 91, 4 0 0
31.42, 76, 3 1 1
50.06, 70, 6 2 1
49.63, 67, 5 5 0
41.61, 66, 5 0 1
45.95, 59, 0 0 2
69.94, 46, 5 5 2
35.23, 44, 5 1 0

Entry 13:
Structure and calculated X-ray powder pattern of SrNdSi4 (a GGA-PBE-relaxed structure; Cu Kα (weighted mean of Kα1 and Kα2)).

a = 4.3591 Å, b = 4.3591 Å, c = 13.6858 Å
α = 90.00°, β = 90.00°, γ = 90.00°
Space group I-4m2 (No. 119)
Asymmetric unit:
1 Sr 0.0000 0.0000 0.0000
2 Nd 0.0000 0.5000 0.2500
3 Si 0.0000 0.0000 0.4136
4 Si 0.0000 0.5000 0.6665

Peak list (10 most intense, 2θ = 10–90°, in order of falling intensity)
2theta, intensity, index
31.84, 100, 1 1 2
28.32, 48, 1 0 3
38.85, 40, 1 0 5
41.43, 35, 2 0 0
21.39, 32, 1 0 1
58.09, 24, 2 1 5
69.57, 20, 3 1 2
50.94, 19, 2 1 3
51.21, 17, 1 0 7
67.90, 15, 2 1 7